[1]
This entry pairs a crystal structure of CsLiLaBr with its simulated X-ray powder pattern. Radiation: Cu Kα X-rays. Structure: the PBE geometry in Alexandria.
No peak broadening, texture or thermal motion is included.

The 12 most intense peaks (5 to 70 degrees two-theta), low angle first:
9.0°, d = 9.830 Å, I = 26
18.0°, d = 4.915 Å, I = 43
21.7°, d = 4.092 Å, I = 100
25.3°, d = 3.526 Å, I = 55
30.2°, d = 2.958 Å, I = 75
31.2°, d = 2.865 Å, I = 71
35.4°, d = 2.535 Å, I = 32
38.6°, d = 2.332 Å, I = 41
43.3°, d = 2.092 Å, I = 28
48.1°, d = 1.890 Å, I = 30
54.3°, d = 1.689 Å, I = 29
59.4°, d = 1.557 Å, I = 23

Atomic structure:
Lattice parameters (Å, degrees): 10.2653 10.2653 10.2653 156.48 156.48 33.50
Element x y z (fractional)
1 Cs 0.0000 0.0000 0.0000
2 Li 0.6585 0.6585 0.0000
3 La 0.2490 0.2490 0.0000
4 Br 0.3985 0.3985 0.0000


[2]
This entry pairs a crystal structure of Rb3Pb2Cl7 with its simulated X-ray powder pattern. Radiation: Cu Kα X-rays. Structure: the PBE geometry in Alexandria.
No peak broadening, texture or thermal motion is included.

The 12 most intense peaks (5 to 70 degrees two-theta), low angle first:
12.7°, d = 6.989 Å, I = 40
15.8°, d = 5.592 Å, I = 39
22.0°, d = 4.036 Å, I = 75
22.3°, d = 3.994 Å, I = 100
31.3°, d = 2.854 Å, I = 67
32.0°, d = 2.796 Å, I = 25
32.8°, d = 2.728 Å, I = 33
38.8°, d = 2.322 Å, I = 51
44.9°, d = 2.018 Å, I = 25
45.4°, d = 1.997 Å, I = 39
46.0°, d = 1.972 Å, I = 26
56.2°, d = 1.636 Å, I = 26

Atomic structure:
Lattice parameters (Å, degrees): 14.5497 14.5497 14.5497 157.38 157.38 32.21
Element x y z (fractional)
1 Rb 0.0000 0.0000 0.0000
2 Rb 0.1810 0.1810 0.0000
3 Rb 0.8190 0.8190 0.0000
4 Pb 0.3959 0.3959 0.0000
5 Pb 0.6041 0.6041 0.0000
6 Cl 0.1010 0.6010 0.5000
7 Cl 0.2956 0.2956 0.0000
8 Cl 0.3990 0.8990 0.5000
9 Cl 0.5000 0.5000 0.0000
10 Cl 0.6010 0.1010 0.5000
11 Cl 0.7044 0.7044 0.0000
12 Cl 0.8990 0.3990 0.5000


[3]
This entry pairs a crystal structure of KZnN with its simulated X-ray powder pattern. Radiation: Cu Kα X-rays. Structure: the PBE geometry in Alexandria.
No peak broadening, texture or thermal motion is included.

The 12 most intense peaks (5 to 70 degrees two-theta), low angle first:
8.8°, d = 10.024 Å, I = 100
17.7°, d = 5.012 Å, I = 34
26.7°, d = 3.341 Å, I = 41
31.2°, d = 2.868 Å, I = 23
33.2°, d = 2.700 Å, I = 25
34.9°, d = 2.573 Å, I = 42
35.5°, d = 2.532 Å, I = 78
36.3°, d = 2.478 Å, I = 19
44.0°, d = 2.057 Å, I = 21
45.8°, d = 1.981 Å, I = 18
47.1°, d = 1.929 Å, I = 13
57.5°, d = 1.602 Å, I = 14

Atomic structure:
Lattice parameters (Å, degrees): 3.3546 3.8655 10.2495 82.55 80.60 90.00
Element x y z (fractional)
1 K 0.0000 0.0000 0.0000
2 K 0.1908 0.2983 0.6179
3 Zn 0.3606 0.4138 0.2754
4 Zn 0.8266 0.8902 0.3426
5 N 0.5751 0.5234 0.8499
6 N 0.6159 0.7743 0.7680


[4]
This entry pairs a crystal structure of Dy3SbSe6 with its simulated X-ray powder pattern. Radiation: Cu Kα X-rays. Structure: the PBE geometry in Alexandria.
No peak broadening, texture or thermal motion is included.

The 12 most intense peaks (5 to 70 degrees two-theta), low angle first:
16.2°, d = 5.487 Å, I = 17
24.0°, d = 3.702 Å, I = 100
24.2°, d = 3.672 Å, I = 40
32.6°, d = 2.743 Å, I = 22
32.8°, d = 2.730 Å, I = 22
33.4°, d = 2.680 Å, I = 56
35.7°, d = 2.514 Å, I = 55
36.1°, d = 2.487 Å, I = 48
40.5°, d = 2.230 Å, I = 54
46.1°, d = 1.968 Å, I = 24
49.3°, d = 1.848 Å, I = 23
62.6°, d = 1.483 Å, I = 17

Atomic structure:
Lattice parameters (Å, degrees): 8.9213 8.9213 7.0770 90.00 90.00 103.18
Element x y z (fractional)
1 Dy 0.0936 0.9064 0.5000
2 Dy 0.2165 0.4160 0.3974
3 Dy 0.4160 0.2165 0.8974
4 Dy 0.5840 0.7835 0.3974
5 Dy 0.7835 0.5840 0.8974
6 Dy 0.9064 0.0936 0.0000
7 Sb 0.3213 0.6787 0.8803
8 Sb 0.6787 0.3213 0.3803
9 Se 0.0625 0.5980 0.6771
10 Se 0.1326 0.1990 0.7030
11 Se 0.1990 0.1326 0.2030
12 Se 0.2676 0.7324 0.2601
13 Se 0.4020 0.9375 0.6771
14 Se 0.4921 0.5079 0.6307
15 Se 0.5079 0.4921 0.1307
16 Se 0.5980 0.0625 0.1771
17 Se 0.7324 0.2676 0.7601
18 Se 0.8010 0.8674 0.7030
19 Se 0.8674 0.8010 0.2030
20 Se 0.9375 0.4020 0.1771


[5]
This entry pairs a crystal structure of Ba6Pt3Br with its simulated X-ray powder pattern. Radiation: Cu Kα X-rays. Structure: the PBE geometry in Alexandria.
No peak broadening, texture or thermal motion is included.

The 12 most intense peaks (5 to 70 degrees two-theta), low angle first:
11.4°, d = 7.766 Å, I = 67
20.5°, d = 4.324 Å, I = 12
22.8°, d = 3.900 Å, I = 22
24.7°, d = 3.602 Å, I = 12
27.1°, d = 3.288 Å, I = 100
31.8°, d = 2.818 Å, I = 13
37.4°, d = 2.406 Å, I = 13
38.8°, d = 2.323 Å, I = 35
40.0°, d = 2.256 Å, I = 24
42.2°, d = 2.139 Å, I = 19
46.9°, d = 1.939 Å, I = 12
49.0°, d = 1.859 Å, I = 14

Atomic structure:
Lattice parameters (Å, degrees): 13.1223 4.5124 15.8437 90.00 114.36 90.00
Element x y z (fractional)
1 Ba 0.0121 0.2500 0.2775
2 Ba 0.1381 0.2500 0.0868
3 Ba 0.1776 0.2500 0.5898
4 Ba 0.2717 0.2500 0.8894
5 Ba 0.3505 0.7500 0.4282
6 Ba 0.4744 0.7500 0.7350
7 Ba 0.5256 0.2500 0.2650
8 Ba 0.6495 0.2500 0.5718
9 Ba 0.7283 0.7500 0.1106
10 Ba 0.8224 0.7500 0.4102
11 Ba 0.8619 0.7500 0.9132
12 Ba 0.9879 0.7500 0.7225
13 Pt 0.0081 0.2500 0.8690
14 Pt 0.2364 0.7500 0.7423
15 Pt 0.4128 0.2500 0.5812
16 Pt 0.5872 0.7500 0.4188
17 Pt 0.7636 0.2500 0.2577
18 Pt 0.9919 0.7500 0.1310
19 Br 0.3615 0.7500 0.0817
20 Br 0.6385 0.2500 0.9183


[6]
This entry pairs a crystal structure of RbIn6Pt3 with its simulated X-ray powder pattern. Radiation: Cu Kα X-rays. Structure: the PBE geometry in Alexandria.
No peak broadening, texture or thermal motion is included.

The 12 most intense peaks (5 to 70 degrees two-theta), low angle first:
15.8°, d = 5.605 Å, I = 31
17.6°, d = 5.032 Å, I = 49
26.2°, d = 3.405 Å, I = 42
29.6°, d = 3.016 Å, I = 69
30.0°, d = 2.981 Å, I = 35
30.9°, d = 2.897 Å, I = 27
35.6°, d = 2.521 Å, I = 26
35.8°, d = 2.508 Å, I = 52
38.4°, d = 2.345 Å, I = 100
38.5°, d = 2.337 Å, I = 80
38.7°, d = 2.326 Å, I = 39
54.4°, d = 1.686 Å, I = 28

Atomic structure:
Lattice parameters (Å, degrees): 6.7427 6.7983 7.5213 63.68 63.78 60.49
Element x y z (fractional)
1 Rb 0.0000 0.0000 0.0000
2 In 0.0754 0.5377 0.8133
3 In 0.2588 0.8717 0.3850
4 In 0.4933 0.2625 0.3803
5 In 0.5368 0.5728 0.8124
6 In 0.5682 0.0795 0.8132
7 In 0.8747 0.4922 0.3812
8 Pt 0.2939 0.2922 0.1213
9 Pt 0.6304 0.6375 0.1042
10 Pt 0.8173 0.8239 0.5405